1.
# Li3CoNi4O8
Simulated powder X-ray diffraction pattern, Cu Kα. Input: a cell relaxed with GGA+U.

Atomic structure:
Lattice parameters (Å, degrees): 5.845 5.845 5.819 119.82 119.82 59.59
Atoms (fractional coordinates):
1 Li 0.000 0.000 0.000
2 Li 0.000 0.500 0.000
3 Li 0.500 0.000 0.000
4 Co 0.500 0.500 0.500
5 Ni 0.000 0.000 0.500
6 Ni 0.000 0.500 0.500
7 Ni 0.500 0.000 0.500
8 Ni 0.500 0.500 0.000
9 O 0.250 0.250 0.730
10 O 0.263 0.736 0.263
11 O 0.264 0.737 0.737
12 O 0.269 0.269 0.282
13 O 0.731 0.731 0.718
14 O 0.736 0.263 0.263
15 O 0.737 0.264 0.737
16 O 0.750 0.750 0.270

Largest 10 diffraction maxima, in order of falling intensity, 5° ≤ 2θ ≤ 70°:
- 2θ = 18.6°, I = 100
- 2θ = 44.1°, I = 86
- 2θ = 37.8°, I = 57
- 2θ = 63.7°, I = 48
- 2θ = 43.5°, I = 45
- 2θ = 36.2°, I = 28
- 2θ = 35.9°, I = 16
- 2θ = 64.1°, I = 12
- 2θ = 64.0°, I = 12
- 2θ = 21.6°, I = 11



2.
# Li3Co2NiO6
Simulated powder X-ray diffraction pattern, Cu Kα. Input: a cell relaxed with GGA+U.

Atomic structure:
Lattice parameters (Å, degrees): 2.856 5.779 6.439 76.05 77.41 88.90
Atoms (fractional coordinates):
1 Li 0.000 0.000 0.000
2 Li 0.336 0.667 0.335
3 Li 0.664 0.333 0.665
4 Co 0.326 0.165 0.334
5 Co 0.674 0.835 0.666
6 Ni 0.000 0.500 0.000
7 O 0.172 0.065 0.651
8 O 0.181 0.606 0.674
9 O 0.461 0.260 0.017
10 O 0.539 0.740 0.983
11 O 0.819 0.394 0.326
12 O 0.828 0.935 0.349

Largest 10 diffraction maxima, in order of falling intensity, 5° ≤ 2θ ≤ 70°:
- 2θ = 18.7°, I = 100
- 2θ = 44.2°, I = 24
- 2θ = 44.6°, I = 23
- 2θ = 45.1°, I = 22
- 2θ = 36.5°, I = 14
- 2θ = 36.8°, I = 13
- 2θ = 48.8°, I = 13
- 2θ = 37.2°, I = 12
- 2θ = 64.7°, I = 12
- 2θ = 64.5°, I = 12



3.
# LiCo3NiO8
Simulated powder X-ray diffraction pattern, Cu Kα. Input: a cell relaxed with GGA+U.

Atomic structure:
Lattice parameters (Å, degrees): 5.716 5.986 9.818 105.71 90.01 118.51
Atoms (fractional coordinates):
1 Li 0.249 0.000 0.250
2 Li 0.751 0.000 0.750
3 Co 0.000 0.500 0.000
4 Co 0.242 0.504 0.250
5 Co 0.262 0.504 0.750
6 Co 0.500 0.500 0.500
7 Co 0.738 0.496 0.250
8 Co 0.758 0.496 0.750
9 Ni 0.000 0.500 0.500
10 Ni 0.500 0.500 0.000
11 O 0.084 0.691 0.361
12 O 0.102 0.691 0.864
13 O 0.154 0.312 0.885
14 O 0.158 0.311 0.385
15 O 0.327 0.706 0.125
16 O 0.379 0.706 0.625
17 O 0.392 0.308 0.139
18 O 0.411 0.309 0.636
19 O 0.589 0.691 0.364
20 O 0.608 0.692 0.861
21 O 0.621 0.294 0.375
22 O 0.673 0.294 0.875
23 O 0.842 0.689 0.615
24 O 0.846 0.688 0.115
25 O 0.898 0.309 0.136
26 O 0.916 0.309 0.639

Largest 10 diffraction maxima, in order of falling intensity, 5° ≤ 2θ ≤ 70°:
- 2θ = 17.7°, I = 100
- 2θ = 43.9°, I = 28
- 2θ = 36.9°, I = 19
- 2θ = 44.2°, I = 14
- 2θ = 62.2°, I = 10
- 2θ = 56.8°, I = 10
- 2θ = 37.1°, I = 9
- 2θ = 47.7°, I = 8
- 2θ = 65.8°, I = 7
- 2θ = 38.4°, I = 5